Structure and theoretical X-ray powder pattern of CeCoF6 (DFT lattice parameters and positions (PBE+U); Cu Kα).

Top 10 peaks for 10 to 90 degrees two-theta, by angle:
d 4.875, 18.2 deg, intensity 11.2
d 4.215, 21.1 deg, intensity 100.0
d 2.988, 29.9 deg, intensity 18.1
d 2.974, 30.1 deg, intensity 17.9
d 2.544, 35.3 deg, intensity 8.4
d 2.108, 42.9 deg, intensity 25.3
d 1.889, 48.2 deg, intensity 20.5
d 1.882, 48.4 deg, intensity 20.3
d 1.723, 53.2 deg, intensity 11.2
d 1.494, 62.1 deg, intensity 7.4

Structural model:
```
data_CeCoF6
_cell_length_a 5.947
_cell_length_b 5.947
_cell_length_c 5.947
_cell_angle_alpha 60.31
_cell_angle_beta 60.31
_cell_angle_gamma 60.31
_symmetry_space_group_name_H-M 'P 1'
_symmetry_Int_Tables_number 1
loop_
_symmetry_equiv_pos_as_xyz
'x,y,z'
loop_
_atom_site_label
_atom_site_type_symbol
_atom_site_fract_x
_atom_site_fract_y
_atom_site_fract_z
Ce1 Ce 0.000 0.000 0.000
Co1 Co 0.500 0.500 0.500
F1 F 0.257 0.741 0.741
F2 F 0.259 0.259 0.743
F3 F 0.259 0.743 0.259
F4 F 0.741 0.257 0.741
F5 F 0.741 0.741 0.257
F6 F 0.743 0.259 0.259
```